Entry 1:
For Pr2YSn2, DFT lattice parameters and positions (GGA-PBE) gives the theoretical X-ray powder pattern in this record (CuKα).
Kinematic intensities with the Lorentz-polarization factor, no thermal factor.

Structure:
a b c (Å): 12.9078 4.8090 11.3619
angles (deg): 90.00 116.93 90.00
Space group C2/m (No. 12)
Inequivalent atoms, fractional coordinates:
Pr  0.0121  0.0000  0.1806 (multiplicity 4)
Pr  0.1828  0.0000  0.5922 (multiplicity 4)
Y  0.2147  0.5000  0.8572 (multiplicity 4)
Sn  0.0333  0.5000  0.3896 (multiplicity 4)
Sn  0.1282  0.5000  0.0733 (multiplicity 4)

Peak list (10 most intense, 10° ≤ 2θ ≤ 90°, low angle first)
index	2θ/deg	intensity
4 0 -2	27.88	100
3 1 -2	28.73	30
1 1 2	28.98	70
1 1 -3	30.34	100
3 1 -3	32.15	82
3 1 1	34.05	100
0 0 4	35.45	27
0 2 0	37.40	73
7 1 -3	53.24	25
4 2 3	64.16	29


Entry 2:
For Pr2YZn2Sn2, DFT lattice parameters and positions (GGA-PBE) gives the theoretical X-ray powder pattern in this record (CuKα).
Kinematic intensities with the Lorentz-polarization factor, no thermal factor.

Structure:
a b c (Å): 4.4500 4.4500 34.7203
angles (deg): 90.00 90.00 120.00
Space group R-3m (No. 166, hexagonal axes)
Inequivalent atoms, fractional coordinates:
Pr  0.0000  0.0000  0.1209 (multiplicity 6)
Y  0.0000  0.0000  0.0000 (multiplicity 3)
Zn  0.0000  0.0000  0.4072 (multiplicity 6)
Sn  0.0000  0.0000  0.2790 (multiplicity 6)

Peak list (10 most intense, 10° ≤ 2θ ≤ 90°, low angle first)
index	2θ/deg	intensity
0 0 6	15.31	19
1 0 7	29.35	100
0 1 8	31.03	40
1 0 10	34.78	25
1 1 0	40.54	75
1 0 13	41.12	17
0 2 7	50.84	22
2 0 8	51.89	15
1 1 15	57.45	15
2 1 7	66.95	19


Entry 3:
For Pr3ZnSn3, DFT lattice parameters and positions (GGA-PBE) gives the theoretical X-ray powder pattern in this record (CuKα).
Kinematic intensities with the Lorentz-polarization factor, no thermal factor.

Structure:
a b c (Å): 11.7986 4.6084 15.3649
angles (deg): 90.00 108.69 90.00
Space group C2/m (No. 12)
Inequivalent atoms, fractional coordinates:
Pr  0.0208  0.0000  0.3820 (multiplicity 4)
Pr  0.1017  0.0000  0.9207 (multiplicity 4)
Pr  0.2373  0.0000  0.2302 (multiplicity 4)
Zn  0.2248  0.5000  0.3843 (multiplicity 4)
Sn  0.0170  0.5000  0.2313 (multiplicity 4)
Sn  0.1224  0.5000  0.0762 (multiplicity 4)
Sn  0.1493  0.5000  0.5457 (multiplicity 4)

Peak list (10 most intense, 10° ≤ 2θ ≤ 90°, low angle first)
index	2θ/deg	intensity
1 1 3	29.55	56
3 1 -1	29.91	53
1 1 -4	30.29	100
4 0 -2	30.37	48
3 1 -4	34.43	41
3 1 2	36.12	79
0 0 6	37.06	25
0 2 0	39.09	57
4 2 -2	50.30	35
7 1 -3	58.29	29


Entry 4:
For Pr3Zn9Sn2, DFT lattice parameters and positions (GGA-PBE) gives the theoretical X-ray powder pattern in this record (CuKα).
Kinematic intensities with the Lorentz-polarization factor, no thermal factor.

Structure:
a b c (Å): 4.4131 9.9991 13.1778
angles (deg): 90.00 90.00 90.00
Space group Immm (No. 71)
Inequivalent atoms, fractional coordinates:
Pr  0.0000  0.0000  0.0000 (multiplicity 2)
Pr  0.0000  0.0000  0.3089 (multiplicity 4)
Zn  0.0000  0.2654  0.1524 (multiplicity 8)
Zn  0.0000  0.3745  0.3340 (multiplicity 8)
Zn  0.0000  0.5000  0.0000 (multiplicity 2)
Sn  0.0000  0.2137  0.5000 (multiplicity 4)

Peak list (10 most intense, 10° ≤ 2θ ≤ 90°, low angle first)
index	2θ/deg	intensity
0 3 3	33.73	33
1 2 3	33.92	100
1 3 2	36.43	16
2 0 0	40.90	28
0 0 6	41.10	22
1 5 0	50.09	11
2 3 3	54.04	11
2 0 6	59.37	14
1 6 3	63.30	10
3 2 3	70.03	12


Entry 5:
For Pr2ZnSn2, DFT lattice parameters and positions (GGA-PBE) gives the theoretical X-ray powder pattern in this record (CuKα).
Kinematic intensities with the Lorentz-polarization factor, no thermal factor.

Structure:
a b c (Å): 4.6562 17.0054 7.4708
angles (deg): 90.00 90.00 90.00
Space group Cmc2_1 (No. 36)
Inequivalent atoms, fractional coordinates:
Pr  0.0000  0.0198  0.0000 (multiplicity 4)
Pr  0.0000  0.2098  0.3151 (multiplicity 4)
Zn  0.0000  0.4097  0.1644 (multiplicity 4)
Sn  0.0000  0.1677  0.7440 (multiplicity 4)
Sn  0.0000  0.4266  0.7798 (multiplicity 4)

Peak list (10 most intense, 10° ≤ 2θ ≤ 90°, low angle first)
index	2θ/deg	intensity
0 0 2	23.82	28
0 2 2	26.06	40
1 3 1	27.52	64
1 1 2	31.14	38
0 4 2	31.89	20
1 5 0	32.60	100
1 3 2	34.61	94
2 0 0	38.68	52
0 8 1	44.27	39
3 5 0	66.20	20


Entry 6:
For Pr6ZnSn, DFT lattice parameters and positions (GGA-PBE) gives the theoretical X-ray powder pattern in this record (CuKα).
Kinematic intensities with the Lorentz-polarization factor, no thermal factor.

Structure:
a b c (Å): 5.2708 5.2708 18.5228
angles (deg): 90.00 90.00 90.00
Space group I4/mmm (No. 139)
Inequivalent atoms, fractional coordinates:
Pr  0.0000  0.0000  0.2498 (multiplicity 4)
Pr  0.0000  0.5000  0.1073 (multiplicity 8)
Zn  0.0000  0.0000  0.0000 (multiplicity 2)
Sn  0.0000  0.0000  0.5000 (multiplicity 2)

Peak list (10 most intense, 10° ≤ 2θ ≤ 90°, low angle first)
index	2θ/deg	intensity
1 1 2	25.77	8
1 1 4	30.80	100
2 0 0	34.02	43
0 0 8	38.90	9
2 2 0	48.87	15
2 0 8	52.62	16
1 1 10	55.39	7
3 1 4	58.89	32
2 2 8	64.15	9
4 2 0	81.70	7